Entry 1:
# Co5SnO12
Calculated powder diffraction line list, Cu Kα (λ = 1.5418 Å). Input: a DFT-relaxed cell (GGA+U, the Materials Project).
No peak broadening, texture or thermal motion is included.

Main lines, sorted by position (10 to 90 degrees two-theta):
18.62°, I = 100; 35.60°, I = 9; 36.85°, I = 36; 40.47°, I = 23; 45.93°, I = 32; 52.86°, I = 13; 60.90°, I = 16; 64.76°, I = 15; 78.42°, I = 7; 87.48°, I = 6

Structure:
a = 5.0469 Å, b = 5.0469 Å, c = 9.5317 Å
α = 90.03°, β = 90.03°, γ = 120.04°
Atoms (fractional coordinates):
Co (0.0000, 0.0000, 0.0000)
Co (0.1666, 0.8334, 0.5000)
Co (0.3347, 0.6653, 0.0000)
Co (0.6653, 0.3347, 0.0000)
Co (0.8334, 0.1666, 0.5000)
Sn (0.5000, 0.5000, 0.5000)
O (0.0006, 0.3324, 0.9087)
O (0.1400, 0.1400, 0.6044)
O (0.1398, 0.5000, 0.3957)
O (0.3324, 0.0006, 0.9087)
O (0.3342, 0.3342, 0.0952)
O (0.5000, 0.1398, 0.3957)
O (0.5000, 0.8602, 0.6043)
O (0.6658, 0.6658, 0.9048)
O (0.6676, 0.9994, 0.0913)
O (0.8602, 0.5000, 0.6043)
O (0.8600, 0.8600, 0.3956)
O (0.9994, 0.6676, 0.0913)



Entry 2:
# CsFeO2F4
Calculated powder diffraction line list, Cu Kα (λ = 1.5418 Å). Input: a DFT-relaxed cell (GGA+U, the Materials Project).
No peak broadening, texture or thermal motion is included.

Main lines, sorted by position (10 to 90 degrees two-theta):
22.94°, I = 100; 23.11°, I = 44; 25.47°, I = 76; 26.27°, I = 32; 31.30°, I = 15; 35.26°, I = 30; 38.88°, I = 29; 43.58°, I = 15; 44.40°, I = 29; 45.87°, I = 14

Structure:
a = 7.0020 Å, b = 7.0020 Å, c = 7.7930 Å
α = 115.96°, β = 115.96°, γ = 57.96°
Atoms (fractional coordinates):
Cs (0.2335, 0.7665, 0.7500)
Cs (0.7665, 0.2335, 0.2500)
Fe (0.0000, 0.5000, 0.0000)
Fe (0.5000, 0.0000, 0.5000)
O (0.1928, 0.5055, 0.2552)
O (0.4945, 0.8072, 0.2448)
O (0.5055, 0.1928, 0.7552)
O (0.8072, 0.4945, 0.7448)
F (0.0616, 0.7353, 0.0204)
F (0.2637, 0.2745, 0.3998)
F (0.2647, 0.9384, 0.4796)
F (0.2745, 0.2637, 0.8998)
F (0.7255, 0.7363, 0.1002)
F (0.7353, 0.0616, 0.5204)
F (0.7363, 0.7255, 0.6002)
F (0.9384, 0.2647, 0.9796)



Entry 3:
# CsNbV2O8
Calculated powder diffraction line list, Cu Kα (λ = 1.5418 Å). Input: a DFT-relaxed cell (GGA+U, the Materials Project).
No peak broadening, texture or thermal motion is included.

Main lines, sorted by position (10 to 90 degrees two-theta):
16.40°, I = 19; 21.61°, I = 20; 22.69°, I = 30; 25.06°, I = 15; 26.18°, I = 13; 26.93°, I = 100; 31.26°, I = 24; 31.38°, I = 18; 40.46°, I = 11; 53.04°, I = 14

Structure:
a = 9.3343 Å, b = 5.7233 Å, c = 17.0921 Å
α = 90.00°, β = 105.80°, γ = 90.00°
Atoms (fractional coordinates):
Cs (0.0810, 0.2500, 0.1213)
Cs (0.1010, 0.7500, 0.6100)
Cs (0.8990, 0.2500, 0.3900)
Cs (0.9190, 0.7500, 0.8787)
Nb (0.4244, 0.2500, 0.3466)
Nb (0.4417, 0.7500, 0.8486)
Nb (0.5583, 0.2500, 0.1514)
Nb (0.5756, 0.7500, 0.6534)
V (0.1773, 0.7500, 0.3384)
V (0.1881, 0.2500, 0.7945)
V (0.3345, 0.7500, 0.0401)
V (0.3501, 0.2500, 0.5537)
V (0.6499, 0.7500, 0.4463)
V (0.6655, 0.2500, 0.9599)
V (0.8119, 0.7500, 0.2055)
V (0.8227, 0.2500, 0.6616)
O (0.0236, 0.2500, 0.7085)
O (0.1330, 0.2500, 0.8778)
O (0.1616, 0.7500, 0.0482)
O (0.1691, 0.2500, 0.5454)
O (0.1988, 0.7500, 0.4370)
O (0.2579, 0.0061, 0.3111)
O (0.2579, 0.4939, 0.3111)
O (0.2921, 0.5061, 0.7907)
O (0.2921, 0.9939, 0.7907)
O (0.3302, 0.7500, 0.9373)
O (0.3824, 0.2500, 0.4582)
O (0.4264, 0.0042, 0.0900)
O (0.4264, 0.4958, 0.0900)
O (0.4287, 0.5017, 0.6118)
O (0.4287, 0.9983, 0.6118)
O (0.4613, 0.2500, 0.2397)
O (0.5387, 0.7500, 0.7603)
O (0.5713, 0.0017, 0.3882)
O (0.5713, 0.4983, 0.3882)
O (0.5736, 0.5042, 0.9100)
O (0.5736, 0.9958, 0.9100)
O (0.6176, 0.7500, 0.5418)
O (0.6698, 0.2500, 0.0627)
O (0.7079, 0.0061, 0.2093)
O (0.7079, 0.4939, 0.2093)
O (0.7421, 0.5061, 0.6889)
O (0.7421, 0.9939, 0.6889)
O (0.8012, 0.2500, 0.5630)
O (0.8309, 0.7500, 0.4546)
O (0.8384, 0.2500, 0.9518)
O (0.8670, 0.7500, 0.1222)
O (0.9764, 0.7500, 0.2915)



Entry 4:
# MgV8O8F8
Calculated powder diffraction line list, Cu Kα (λ = 1.5418 Å). Input: a DFT-relaxed cell (GGA+U, the Materials Project).
No peak broadening, texture or thermal motion is included.

Main lines, sorted by position (10 to 90 degrees two-theta):
22.82°, I = 19; 25.36°, I = 84; 26.95°, I = 100; 31.81°, I = 30; 33.61°, I = 24; 33.75°, I = 42; 39.59°, I = 33; 49.40°, I = 21; 50.38°, I = 24; 53.40°, I = 18

Structure:
a = 5.0820 Å, b = 5.6555 Å, c = 10.7904 Å
α = 79.86°, β = 88.40°, γ = 85.25°
Atoms (fractional coordinates):
Mg (0.0000, 0.0000, 0.0000)
V (0.2157, 0.8709, 0.7082)
V (0.2315, 0.6356, 0.4504)
V (0.2698, 0.4152, 0.2035)
V (0.2705, 0.4216, 0.9285)
V (0.7067, 0.3638, 0.6866)
V (0.7091, 0.8660, 0.2398)
V (0.7128, 0.6415, 0.9294)
V (0.7456, 0.1283, 0.4700)
O (0.0610, 0.7663, 0.8830)
O (0.1077, 0.2289, 0.0948)
O (0.4088, 0.6561, 0.2924)
O (0.5113, 0.6110, 0.7800)
O (0.5238, 0.4583, 0.0583)
O (0.5271, 0.3958, 0.5319)
O (0.9205, 0.8671, 0.3983)
O (0.9314, 0.0950, 0.6393)
F (0.0214, 0.3670, 0.3807)
F (0.0363, 0.5955, 0.6337)
F (0.4211, 0.1281, 0.7732)
F (0.4261, 0.8989, 0.5374)
F (0.5183, 0.1619, 0.3043)
F (0.6177, 0.9418, 0.0167)
F (0.9092, 0.3050, 0.8627)
F (0.9975, 0.6950, 0.1345)



Entry 5:
# Li3VO3F
Calculated powder diffraction line list, Cu Kα (λ = 1.5418 Å). Input: a DFT-relaxed cell (GGA+U, the Materials Project).
No peak broadening, texture or thermal motion is included.

Main lines, sorted by position (10 to 90 degrees two-theta):
16.03°, I = 100; 21.91°, I = 52; 23.47°, I = 37; 24.41°, I = 38; 30.55°, I = 23; 42.61°, I = 49; 42.84°, I = 49; 44.84°, I = 41; 62.02°, I = 25; 63.75°, I = 22

Structure:
a = 5.8608 Å, b = 5.8608 Å, c = 9.4460 Å
α = 108.94°, β = 108.94°, γ = 87.23°
Atoms (fractional coordinates):
Li (0.0638, 0.8121, 0.8754)
Li (0.1743, 0.4379, 0.6219)
Li (0.1879, 0.9362, 0.6246)
Li (0.3060, 0.5527, 0.3616)
Li (0.4379, 0.1743, 0.1219)
Li (0.4473, 0.6940, 0.1384)
Li (0.5527, 0.3060, 0.8616)
Li (0.5621, 0.8257, 0.8781)
Li (0.6940, 0.4473, 0.6384)
Li (0.8121, 0.0638, 0.3754)
Li (0.8257, 0.5621, 0.3781)
Li (0.9362, 0.1879, 0.1246)
V (0.0601, 0.2936, 0.8781)
V (0.2936, 0.0601, 0.3781)
V (0.7064, 0.9399, 0.6219)
V (0.9399, 0.7064, 0.1219)
O (0.0703, 0.8144, 0.3601)
O (0.0892, 0.3003, 0.3816)
O (0.1594, 0.4419, 0.1140)
O (0.1856, 0.9297, 0.1399)
O (0.3003, 0.0892, 0.8816)
O (0.4419, 0.1594, 0.6140)
O (0.5581, 0.8406, 0.3860)
O (0.6997, 0.9108, 0.1184)
O (0.8144, 0.0703, 0.8601)
O (0.8406, 0.5581, 0.8860)
O (0.9108, 0.6997, 0.6184)
O (0.9297, 0.1856, 0.6399)
F (0.3062, 0.5550, 0.8674)
F (0.4450, 0.6938, 0.6326)
F (0.5550, 0.3062, 0.3674)
F (0.6938, 0.4450, 0.1326)



Entry 6:
# MgW4O6
Calculated powder diffraction line list, Cu Kα (λ = 1.5418 Å). Input: a DFT-relaxed cell (GGA+U, the Materials Project).
No peak broadening, texture or thermal motion is included.

Main lines, sorted by position (10 to 90 degrees two-theta):
10.58°, I = 43; 29.34°, I = 31; 30.80°, I = 22; 31.46°, I = 100; 33.14°, I = 78; 38.97°, I = 23; 40.87°, I = 26; 52.85°, I = 20; 58.20°, I = 20; 66.57°, I = 24

Structure:
a = 5.6367 Å, b = 5.6367 Å, c = 16.7218 Å
α = 90.00°, β = 90.00°, γ = 146.68°
Atoms (fractional coordinates):
Mg (0.1717, 0.8283, 0.7500)
Mg (0.8283, 0.1717, 0.2500)
W (0.1257, 0.8743, 0.1377)
W (0.1257, 0.8743, 0.3623)
W (0.3716, 0.6284, 0.0532)
W (0.3716, 0.6284, 0.4468)
W (0.6284, 0.3716, 0.5532)
W (0.6284, 0.3716, 0.9468)
W (0.8743, 0.1257, 0.6377)
W (0.8743, 0.1257, 0.8623)
O (0.0000, 0.0000, 0.0000)
O (0.0000, 0.0000, 0.5000)
O (0.2154, 0.7846, 0.2500)
O (0.2202, 0.7798, 0.6264)
O (0.2202, 0.7798, 0.8736)
O (0.4989, 0.5011, 0.1530)
O (0.4989, 0.5011, 0.3470)
O (0.5011, 0.4989, 0.6530)
O (0.5011, 0.4989, 0.8470)
O (0.7798, 0.2202, 0.1264)
O (0.7798, 0.2202, 0.3736)
O (0.7846, 0.2154, 0.7500)